Computed PXRD pattern of TlPPb2 for Cu Kα, 1.54184 Å, from DFT lattice parameters and positions (PBE).

Structure:
a b c (Å): 11.645 3.909 5.876
angles (deg): 90.00 119.51 90.00
Space group Cm (No. 8)
Unique sites:
Tl 0.000 0.000 0.000 [2 per cell]
P 0.286 0.000 0.611 [2 per cell]
Pb 0.104 0.500 0.605 [2 per cell]
Pb 0.300 0.500 0.273 [2 per cell]

Peak list (6 most intense, 2θ from 10° to 90°, in order of falling intensity)
- 2θ 30.4, rel. 100
- 2θ 32.8, rel. 78
- 2θ 32.6, rel. 76
- 2θ 24.4, rel. 50
- 2θ 30.7, rel. 41
- 2θ 56.5, rel. 36